Structure and calculated PXRD pattern of Li6CoCu3P4O16 (a GGA+U-relaxed structure; λ = 1.5418 Å (Cu Kα)).
Kinematic intensities with the Lorentz-polarization factor, no thermal factor.

Main lines, low angle first (2θ = 10–80°):
2θ (°)  I/Imax  index
19.13  25  1 0 -1
22.46  34  1 1 0
24.22  83  1 0 -2
24.93  100  1 0 2
28.68  92  0 2 0
34.70  24  1 2 -1
34.97  82  2 0 0
35.10  60  0 0 4
47.25  34  1 3 0
59.38  25  0 4 0

Structural model:
```
data_Li6CoCu3P4O16
_chemical_formula_sum 'Li6 Co1 Cu3 P4 O16'
_cell_length_a 5.1334
_cell_length_b 6.2260
_cell_length_c 10.2322
_cell_angle_alpha 90.00
_cell_angle_beta 91.65
_cell_angle_gamma 90.00
_space_group_name_H-M_alt 'P 1'
_space_group_IT_number 1
_space_group_name_Hall 'P 1'
loop_
_atom_site_label
_atom_site_type_symbol
_atom_site_fract_x
_atom_site_fract_y
_atom_site_fract_z
Li1 Li 0.0000 0.2440 0.0000
Li2 Li 0.0000 0.7560 0.0000
Li3 Li 0.1590 0.2522 0.5157
Li4 Li 0.1590 0.7478 0.5157
Li5 Li 0.4936 0.2501 0.8262
Li6 Li 0.4936 0.7499 0.8262
Co1 Co 0.6929 0.0000 0.4445
Cu1 Cu 0.0483 0.5000 0.7719
Cu2 Cu 0.1050 0.5000 0.2956
Cu3 Cu 0.5828 0.0000 0.0879
P1 P 0.1520 0.0000 0.2641
P2 P 0.4776 0.5000 0.0705
P3 P 0.6474 0.5000 0.5737
P4 P 0.9615 0.0000 0.7425
O1 O 0.0238 0.1968 0.3336
O2 O 0.0238 0.8032 0.3336
O3 O 0.0863 0.0000 0.1153
O4 O 0.1089 0.1969 0.8044
O5 O 0.1089 0.8031 0.8044
O6 O 0.1999 0.5000 0.0049
O7 O 0.4536 0.0000 0.2837
O8 O 0.4619 0.5000 0.2187
O9 O 0.5315 0.2922 0.5106
O10 O 0.5315 0.7078 0.5106
O11 O 0.5873 0.5000 0.7230
O12 O 0.6256 0.2971 0.0171
O13 O 0.6256 0.7029 0.0171
O14 O 0.6776 0.0000 0.7808
O15 O 0.9525 0.5000 0.5624
O16 O 0.9886 0.0000 0.5906
```